# PrIn2MoO8
Simulated powder XRD pattern, copper Kα. Input: a cell relaxed with PBE+U.
Kinematic intensities with the Lorentz-polarization factor, no thermal factor.

Principal peaks in the range 15 to 90 degrees two-theta, in order of rising 2θ:
d (Å)	I/Imax
3.502	100.0
2.818	84.1
2.476	23.0
1.860	67.0
1.566	14.7
1.539	16.0
1.487	19.6
1.134	11.9

Atomic structure:
```
PrIn2MoO8
1.0
3.499 -3.506 0.000
3.499 3.506 0.000
0.000 0.000 6.855
Pr In Mo O
1 2 1 8
direct
0.000 0.000 0.000
0.500 0.500 0.263
0.500 0.500 0.737
0.000 0.000 0.500
0.188 0.812 0.295
0.188 0.812 0.705
0.285 0.285 0.500
0.325 0.325 0.000
0.675 0.675 0.000
0.715 0.715 0.500
0.812 0.188 0.295
0.812 0.188 0.705
```